Hg8SbI3: computed PXRD pattern (Cu Kα (λ = 1.5418 Å)), based on the GGA-PBE geometry in Alexandria.
Lines closer than 0.1° are merged.

Top 10 peaks for 10° ≤ 2θ ≤ 80°, by angle:
Position (°2θ)	intensity
19.81	15
22.92	33
32.63	100
41.97	9
46.82	17
52.75	10
58.24	31
64.68	10
68.37	9
77.84	11

a b c (Å): 7.761 7.761 7.761
angles (deg): 90.00 90.00 90.00
Sites, in units of the cell vectors:
1 Hg 0.229 0.229 0.229
2 Hg 0.229 0.229 0.771
3 Hg 0.229 0.771 0.229
4 Hg 0.229 0.771 0.771
5 Hg 0.771 0.229 0.229
6 Hg 0.771 0.229 0.771
7 Hg 0.771 0.771 0.229
8 Hg 0.771 0.771 0.771
9 Sb 0.000 0.000 0.000
10 I 0.000 0.500 0.500
11 I 0.500 0.000 0.500
12 I 0.500 0.500 0.000



AcTbPr2Tm4: computed PXRD pattern (Cu Kα (λ = 1.5418 Å)), based on the GGA-PBE geometry in Alexandria.
Lines closer than 0.1° are merged.

Top 10 peaks for 10° ≤ 2θ ≤ 80°, by angle:
Position (°2θ)	intensity
26.54	45
29.92	100
40.41	88
53.12	20
60.34	27
62.17	12
63.56	22
68.79	6
68.81	12
79.70	12

a b c (Å): 9.628 9.628 6.895
angles (deg): 110.98 110.98 88.49
Sites, in units of the cell vectors:
1 Ac 0.000 0.500 0.000
2 Ac 0.500 0.000 0.500
3 Tb 0.000 0.000 0.000
4 Tb 0.000 0.000 0.500
5 Pr 0.000 0.500 0.500
6 Pr 0.500 0.000 0.000
7 Pr 0.500 0.500 0.000
8 Pr 0.500 0.500 0.500
9 Tm 0.237 0.253 0.494
10 Tm 0.245 0.755 0.512
11 Tm 0.245 0.755 0.988
12 Tm 0.253 0.237 0.994
13 Tm 0.747 0.763 0.006
14 Tm 0.755 0.245 0.012
15 Tm 0.755 0.245 0.488
16 Tm 0.763 0.747 0.506